This entry pairs a crystal structure of NaTl4In5 with its calculated X-ray powder pattern. Radiation: a wavelength of 1.5418 Å. Structure: the PBE geometry in Alexandria.

Cell and atoms:
```
NaTl4In5
1.0
4.553 0.000 0.000
-0.025 7.113 0.000
-2.156 -1.970 8.710
Na Tl In
1 4 5
direct
0.000 0.000 0.000
0.198 0.093 0.395
0.404 0.704 0.807
0.596 0.296 0.193
0.802 0.907 0.605
0.000 0.500 0.000
0.201 0.594 0.402
0.396 0.221 0.794
0.604 0.779 0.206
0.799 0.406 0.598
```

Largest 12 diffraction maxima, by angle, 2θ = 15–90°:
2θ (°)	I_rel	(hkl)
18.0	34.9	0 1 1
31.9	100.0	1 -2 0
32.0	99.3	1 2 -1
32.1	98.8	1 0 2
32.6	96.1	1 0 -3
35.7	73.3	0 2 -3
36.5	69.5	0 2 2
39.6	56.5	2 0 -1
51.4	25.3	0 4 -1
52.5	24.4	0 0 5
54.7	43.0	2 2 1
62.5	27.7	1 2 -6